For NaAlZnS3O12, a crystal structure in the Materials Project, relaxed with PBE gives the calculated powder diffractogram in this record (Cu Kα, 1.54184 Å).
Lines closer than 0.1° are merged.

Atomic structure:
abc: 8.8569 8.8569 8.8569
angles: 57.15 57.15 57.15
Fractional coordinates of all 36 atoms:
Na: 0.0000 0.0000 0.0000
Na: 0.5000 0.5000 0.5000
Al: 0.1504 0.1504 0.1504
Al: 0.6504 0.6504 0.6504
Zn: 0.3528 0.3528 0.3528
Zn: 0.8528 0.8528 0.8528
S: 0.0411 0.7573 0.4579
S: 0.2573 0.5411 0.9579
S: 0.4579 0.0411 0.7573
S: 0.5411 0.9579 0.2573
S: 0.7573 0.4579 0.0411
S: 0.9579 0.2573 0.5411
O: 0.0200 0.7800 0.6201
O: 0.0603 0.9340 0.2812
O: 0.0914 0.7171 0.9269
O: 0.1201 0.2800 0.5200
O: 0.2171 0.5914 0.4269
O: 0.2329 0.3702 0.9882
O: 0.2800 0.5200 0.1201
O: 0.2812 0.0603 0.9340
O: 0.3702 0.9882 0.2329
O: 0.4269 0.2171 0.5914
O: 0.4340 0.5603 0.7812
O: 0.4882 0.8702 0.7329
O: 0.5200 0.1201 0.2800
O: 0.5603 0.7812 0.4340
O: 0.5914 0.4269 0.2171
O: 0.6201 0.0200 0.7800
O: 0.7171 0.9269 0.0914
O: 0.7329 0.4882 0.8702
O: 0.7800 0.6201 0.0200
O: 0.7812 0.4340 0.5603
O: 0.8702 0.7329 0.4882
O: 0.9269 0.0914 0.7171
O: 0.9340 0.2812 0.0603
O: 0.9882 0.2329 0.3702

Principal peaks in the range 2θ = 5–70°, in order of falling intensity:
d/Å, two_theta, I (rel.)
3.675, 24.2, 1000
2.783, 32.2, 485
6.117, 14.5, 237
4.237, 21.0, 210
3.059, 29.2, 208
4.420, 20.1, 189
1.837, 49.6, 185
2.446, 36.7, 170
2.752, 32.5, 118
1.601, 57.6, 113
1.959, 46.3, 94
1.731, 52.9, 89